# 1
Starting from DFT lattice parameters and positions (PBE), the powder diffraction line list of Ba2In9Ir3 was computed for Cu Kα (λ = 1.5418 Å).

Top 10 peaks for 2θ from 10° to 90°, in order of rising 2θ:
16.3°, d 5.440, I 33
32.6°, d 2.749, I 45
32.7°, d 2.738, I 94
32.9°, d 2.720, I 49
37.0°, d 2.428, I 52
37.3°, d 2.414, I 100
39.6°, d 2.278, I 35
40.9°, d 2.206, I 46
50.5°, d 1.808, I 24
55.2°, d 1.663, I 17

Structural model:
```
Ba2In9Ir3
1.0
7.283 -4.173 0.000
7.283 4.173 0.000
-4.903 0.000 10.879
Ba In Ir
4 18 6
Cartesian
1.238 0.691 2.711
-1.213 -0.691 8.151
10.877 0.691 2.729
8.425 -0.691 8.168
6.058 3.491 0.761
6.057 3.491 4.679
1.203 0.696 6.163
4.498 1.574 2.736
1.172 0.713 10.313
3.655 -0.696 0.724
3.606 1.132 8.159
7.616 1.574 2.704
3.624 -0.713 4.873
6.039 0.713 6.006
2.047 -1.574 8.176
6.057 -1.132 2.720
6.009 0.696 10.156
8.491 -0.713 0.566
5.165 -1.574 8.143
8.460 -0.696 4.716
3.606 -3.491 6.201
3.605 -3.491 10.118
3.642 2.086 0.000
3.603 2.113 5.425
8.512 2.113 0.014
1.190 -2.086 5.440
1.151 -2.113 10.865
6.061 -2.113 5.454
```

# 2
Starting from DFT lattice parameters and positions (PBE), the powder diffraction line list of Ba6Na2InIr was computed for Cu Kα (λ = 1.5418 Å).

Top 10 peaks for 2θ from 10° to 90°, in order of rising 2θ:
11.8°, d 7.530, I 13
13.6°, d 6.521, I 100
23.6°, d 3.765, I 37
27.4°, d 3.260, I 91
30.6°, d 2.917, I 46
39.1°, d 2.306, I 56
41.5°, d 2.175, I 18
48.3°, d 1.885, I 12
48.4°, d 1.880, I 12
63.8°, d 1.458, I 19

Structural model:
```
Ba6Na2InIr
1.0
6.520 -6.521 0.000
6.520 6.521 0.000
-6.494 0.000 6.521
Ba Na In Ir
6 2 1 1
Cartesian
-0.001 0.000 3.074
-3.418 0.000 6.517
6.520 3.447 0.000
6.520 -3.447 0.000
9.965 0.000 0.003
6.547 0.000 3.447
3.273 3.258 3.260
3.273 -3.258 3.260
6.520 0.000 0.000
0.000 0.000 0.000
```

# 3
Starting from DFT lattice parameters and positions (PBE), the powder diffraction line list of Ba3InIrRuO9 was computed for Cu Kα (λ = 1.5418 Å).

Top 10 peaks for 2θ from 10° to 90°, in order of rising 2θ:
18.4°, d 4.824, I 19
25.3°, d 3.518, I 21
30.2°, d 2.963, I 53
30.3°, d 2.952, I 100
35.5°, d 2.529, I 22
39.9°, d 2.261, I 15
43.3°, d 2.091, I 30
53.7°, d 1.706, I 40
63.0°, d 1.476, I 18
87.4°, d 1.116, I 16

Structural model:
```
Ba3InIrRuO9
1.0
5.904 0.000 0.000
-2.952 5.113 0.000
0.000 0.000 14.546
Ba In Ir Ru O
6 2 2 2 18
Cartesian
0.000 0.000 0.000
0.000 0.000 7.273
0.000 3.409 2.399
0.000 3.409 12.197
2.952 1.704 4.924
2.952 1.704 9.672
0.000 0.000 3.641
0.000 0.000 10.914
0.000 3.409 6.021
2.952 1.704 13.294
0.000 3.409 8.554
2.952 1.704 1.281
-1.377 2.614 7.288
0.000 1.772 9.666
-1.417 4.227 9.666
0.000 1.776 4.856
-1.414 4.225 4.856
1.535 0.886 2.392
1.538 0.888 12.129
1.377 2.614 7.288
0.000 4.998 7.288
2.952 0.115 0.015
1.575 2.499 0.015
1.414 4.225 4.856
1.417 4.227 9.666
4.366 0.888 12.129
2.952 3.337 12.129
4.370 0.886 2.392
2.952 3.341 2.392
4.329 2.499 0.015
```

# 4
Starting from DFT lattice parameters and positions (PBE), the powder diffraction line list of KBaInP2 was computed for Cu Kα (λ = 1.5418 Å).

Top 10 peaks for 2θ from 10° to 90°, in order of rising 2θ:
19.6°, d 4.521, I 49
22.2°, d 3.998, I 89
23.3°, d 3.823, I 66
25.9°, d 3.442, I 100
30.4°, d 2.939, I 41
34.6°, d 2.593, I 56
35.6°, d 2.524, I 88
39.7°, d 2.269, I 44
39.9°, d 2.261, I 47
46.7°, d 1.947, I 33

Structural model:
```
KBaInP2
1.0
8.979 -2.262 0.000
8.979 2.262 0.000
-1.259 0.000 9.042
K Ba In P
2 2 2 4
Cartesian
3.461 0.000 1.099
13.237 0.000 7.943
0.771 0.000 6.173
15.927 0.000 2.869
7.120 0.000 7.486
9.578 0.000 1.556
1.031 0.000 2.960
6.980 0.000 0.721
9.718 0.000 8.321
15.667 0.000 6.082
```